# 1
Structure and computed powder X-ray diffraction pattern of Cu7Ag2 (a crystal structure in OQMD, relaxed with PBE; a wavelength of 1.5418 Å).

Crystal structure
```
data_Cu7Ag2
_chemical_formula_sum 'Cu14 Ag4'
_space_group_name_H-M_alt 'I 4/m m m'
_space_group_IT_number 139
_space_group_name_Hall '-I 4 2'
_cell_length_a 2.7058
_cell_length_b 2.7058
_cell_length_c 32.5668
_cell_angle_alpha 90.00
_cell_angle_beta 90.00
_cell_angle_gamma 90.00
loop_
_atom_site_label
_atom_site_fract_x
_atom_site_fract_y
_atom_site_fract_z
Cu1 0.0000 0.0000 0.0000
Cu2 0.0000 0.0000 0.1023
Cu3 0.0000 0.0000 0.2248
Cu4 0.0000 0.0000 0.4490
Ag1 0.0000 0.0000 0.3364
```

Main lines, low angle first (2θ from 10° to 90°):
| d/Å | 2θ (°) | I (rel.) | index |
| --- | --- | --- | --- |
| 2.625 | 34.15 | 4 | 1 0 3 |
| 2.339 | 38.49 | 5 | 1 0 7 |
| 2.167 | 41.68 | 100 | 1 0 9 |
| 1.913 | 47.52 | 36 | 1 1 0 |
| 1.809 | 50.44 | 11 | 0 0 18 |
| 1.353 | 69.48 | 11 | 2 0 0 |
| 1.315 | 71.81 | 14 | 1 1 18 |
| 1.174 | 82.11 | 3 | 1 0 25 |
| 1.148 | 84.41 | 23 | 2 1 9 |
| 1.102 | 88.82 | 5 | 1 0 27 |

---

# 2
Structure and computed powder X-ray diffraction pattern of GdEr2In3Ir2Pd (a crystal structure in OQMD, relaxed with PBE; a wavelength of 1.5418 Å).

Crystal structure
```
data_GdEr2In3Ir2Pd
_chemical_formula_sum 'Gd2 Er4 In6 Ir4 Pd2'
_space_group_name_H-M_alt 'A m m 2'
_space_group_IT_number 38
_cell_length_a 3.8586
_cell_length_b 13.2356
_cell_length_c 7.5645
_cell_angle_alpha 90.00
_cell_angle_beta 90.00
_cell_angle_gamma 90.00
loop_
_space_group_symop_operation_xyz
'x,y,z'
'-x,-y,z'
'-x,y,z'
'x,-y,z'
'x,y+1/2,z+1/2'
'-x,-y+1/2,z+1/2'
'-x,y+1/2,z+1/2'
'x,-y+1/2,z+1/2'
loop_
_atom_site_label
_atom_site_fract_x
_atom_site_fract_y
_atom_site_fract_z
Gd1 0.0000 0.0000 0.0000
Er1 0.0000 0.2051 0.6178
In1 0.5000 0.0000 0.6710
In2 0.5000 0.1304 0.2819
Ir1 0.5000 0.1684 0.9102
Pd1 0.0000 0.0000 0.4122
```

Main lines, low angle first (2θ from 10° to 90°):
| d/Å | 2θ (°) | I (rel.) | index |
| --- | --- | --- | --- |
| 2.711 | 33.04 | 82 | 1 3 1 |
| 2.701 | 33.17 | 42 | 1 0 2 |
| 2.512 | 35.75 | 37 | 1 4 0 |
| 2.500 | 35.92 | 100 | 1 2 2 |
| 2.490 | 36.07 | 18 | 0 4 2 |
| 2.477 | 36.27 | 18 | 0 1 3 |
| 2.206 | 40.91 | 19 | 0 6 0 |
| 2.189 | 41.24 | 37 | 0 3 3 |
| 1.929 | 47.10 | 31 | 2 0 0 |
| 1.447 | 64.36 | 20 | 2 3 3 |

---

# 3
Structure and computed powder X-ray diffraction pattern of Zr3GeCN (a crystal structure in OQMD, relaxed with PBE; a wavelength of 1.5418 Å).

Crystal structure
```
data_Zr3GeCN
_chemical_formula_sum 'Zr6 Ge2 C2 N2'
_space_group_name_H-M_alt 'P -3 m 1'
_space_group_IT_number 164
_space_group_name_Hall '-P 3 2"'
_cell_length_a 3.3018
_cell_length_b 3.3018
_cell_length_c 19.1632
_cell_angle_alpha 90.00
_cell_angle_beta 90.00
_cell_angle_gamma 120.00
loop_
_atom_site_label
_atom_site_fract_x
_atom_site_fract_y
_atom_site_fract_z
Zr1 0.0000 0.0000 0.0000
Zr2 0.0000 0.0000 0.5000
Zr3 0.3333 0.6667 0.1367
Zr4 0.3333 0.6667 0.3624
Ge1 0.0000 0.0000 0.2491
C1 0.3333 0.6667 0.5735
N1 0.3333 0.6667 0.9309
```

Main lines, low angle first (2θ from 10° to 90°):
| d/Å | 2θ (°) | I (rel.) | index |
| --- | --- | --- | --- |
| 2.828 | 31.64 | 28 | 1 0 1 |
| 2.610 | 34.36 | 7 | 1 0 3 |
| 2.455 | 36.60 | 100 | 1 0 4 |
| 2.395 | 37.55 | 21 | 0 0 8 |
| 2.292 | 39.31 | 33 | 1 0 5 |
| 1.708 | 53.67 | 14 | 0 1 9 |
| 1.651 | 55.68 | 30 | 1 1 0 |
| 1.394 | 67.13 | 13 | 0 1 12 |
| 1.370 | 68.49 | 17 | 2 0 4 |
| 1.359 | 69.10 | 20 | 1 1 8 |

---

# 4
Structure and computed powder X-ray diffraction pattern of Zr3As (a crystal structure in OQMD, relaxed with PBE; a wavelength of 1.5418 Å).

Crystal structure
```
data_Zr3As
_chemical_formula_sum 'Zr24 As8'
_space_group_name_H-M_alt 'P 42/n'
_space_group_IT_number 86
_cell_length_a 11.0257
_cell_length_b 11.0257
_cell_length_c 5.4772
_cell_angle_alpha 90.00
_cell_angle_beta 90.00
_cell_angle_gamma 90.00
loop_
_space_group_symop_operation_xyz
'x,y,z'
'-x,-y,-z'
'-y,x+1/2,z+1/2'
'y,-x+1/2,-z+1/2'
'-x+1/2,-y+1/2,z'
'x+1/2,y+1/2,-z'
'y+1/2,-x,z+1/2'
'-y+1/2,x,-z+1/2'
loop_
_atom_site_label
_atom_site_fract_x
_atom_site_fract_y
_atom_site_fract_z
Zr1 0.0348 0.5690 0.2390
Zr2 0.1103 0.2239 0.0335
Zr3 0.1446 0.6669 0.7134
As1 0.0440 0.2100 0.5384
```

Main lines, low angle first (2θ from 10° to 90°):
| d/Å | 2θ (°) | I (rel.) | index |
| --- | --- | --- | --- |
| 2.670 | 33.56 | 100 | 2 3 1 |
| 2.599 | 34.51 | 54 | 3 3 0 |
| 2.584 | 34.72 | 70 | 1 1 2 |
| 2.465 | 36.45 | 71 | 2 4 0 |
| 2.403 | 37.42 | 92 | 4 1 1 |
| 2.248 | 40.11 | 20 | 4 2 1 |
| 2.241 | 40.24 | 42 | 2 2 2 |
| 2.162 | 41.77 | 38 | 5 1 0 |
| 2.154 | 41.95 | 39 | 1 3 2 |
| 1.355 | 69.35 | 23 | 1 7 2 |

---

# 5
Structure and computed powder X-ray diffraction pattern of Ho2Er3Lu2Ni2Te2 (a crystal structure in OQMD, relaxed with PBE; a wavelength of 1.5418 Å).

Crystal structure
```
data_Ho2Er3Lu2Ni2Te2
_chemical_formula_sum 'Ho4 Er6 Lu4 Ni4 Te4'
_space_group_name_H-M_alt 'I m m 2'
_space_group_IT_number 44
_cell_length_a 3.8268
_cell_length_b 15.4050
_cell_length_c 9.4661
_cell_angle_alpha 90.00
_cell_angle_beta 90.00
_cell_angle_gamma 90.00
loop_
_space_group_symop_operation_xyz
'x,y,z'
'-x,-y,z'
'-x,y,z'
'x,-y,z'
'x+1/2,y+1/2,z+1/2'
'-x+1/2,-y+1/2,z+1/2'
'-x+1/2,y+1/2,z+1/2'
'x+1/2,-y+1/2,z+1/2'
loop_
_atom_site_label
_atom_site_fract_x
_atom_site_fract_y
_atom_site_fract_z
Ho1 0.0000 0.1466 0.0000
Er1 0.0000 0.3655 0.8529
Er2 0.0000 0.5000 0.2706
Lu1 0.0000 0.1851 0.6475
Ni1 0.0000 0.2637 0.3392
Te1 0.0000 0.0000 0.5045
Te2 0.0000 0.5000 0.6096
```

Main lines, low angle first (2θ from 10° to 90°):
| d/Å | 2θ (°) | I (rel.) | index |
| --- | --- | --- | --- |
| 3.068 | 29.10 | 23 | 1 3 0 |
| 2.924 | 30.57 | 76 | 1 1 2 |
| 2.688 | 33.33 | 83 | 0 3 3 |
| 2.609 | 34.37 | 100 | 1 4 1 |
| 2.575 | 34.85 | 55 | 1 3 2 |
| 2.567 | 34.95 | 25 | 0 6 0 |
| 2.435 | 36.92 | 24 | 1 0 3 |
| 1.913 | 47.52 | 30 | 2 0 0 |
| 1.768 | 51.69 | 27 | 1 7 2 |
| 1.559 | 59.28 | 32 | 2 3 3 |